Starting from a structure optimized by DFT (PBE), the powder diffraction line list of Ti4Tl2O9 was computed for Cu Kα (λ = 1.5418 Å).
No peak broadening, texture or thermal motion is included.

Principal peaks in the range 5° ≤ 2θ ≤ 70°, in order of rising 2θ:
2θ/deg	d [Å]	I (rel.)	h k l
9.5	9.300	57	2 0 0
22.0	4.034	76	2 0 -3
22.5	3.948	59	4 0 1
23.9	3.723	71	1 1 0
25.2	3.531	54	4 0 -3
27.5	3.241	94	3 1 0
29.7	3.008	87	3 1 1
33.2	2.700	100	3 1 -3

Crystal structure
Lattice parameters (Å, degrees): 19.425 3.800 12.215 90.00 106.77 90.00
Space group C2/m (No. 12)
Asymmetric unit:
1 Ti 0.128 0.000 0.363
2 Ti 0.165 0.000 0.124
3 Ti 0.204 0.000 0.897
4 Ti 0.246 0.000 0.667
5 Tl 0.013 0.500 0.826
6 Tl 0.083 0.500 0.589
7 O 0.042 0.000 0.377
8 O 0.090 0.000 0.182
9 O 0.128 0.000 0.963
10 O 0.155 0.500 0.356
11 O 0.166 0.000 0.743
12 O 0.185 0.000 0.528
13 O 0.194 0.500 0.141
14 O 0.231 0.500 0.922
15 O 0.232 0.000 0.299